# 1
This entry pairs a crystal structure of Na3TmTl4 with its theoretical X-ray powder pattern. Radiation: Cu Kα (weighted mean of Kα1 and Kα2). Structure: a DFT-relaxed cell (PBE, Alexandria).
Peak positions follow from Bragg's law for the DFT cell and can differ from measured ones.

Largest 10 diffraction maxima, in order of rising 2θ, 2θ from 15° to 90°:
2θ = 23.39°, I = 35
2θ = 23.70°, I = 17
2θ = 33.32°, I = 51
2θ = 33.55°, I = 100
2θ = 41.30°, I = 16
2θ = 47.84°, I = 19
2θ = 48.50°, I = 10
2θ = 59.67°, I = 29
2θ = 60.10°, I = 14
2θ = 79.77°, I = 13

Cell and atoms:
a = 8.4101 Å, b = 8.4101 Å, c = 5.3779 Å
α = 108.53°, β = 108.53°, γ = 37.29°
Element x y z (fractional)
Na  0.0000  0.0000  0.0000
Na  0.2519  0.2519  0.2518
Na  0.7481  0.7481  0.7482
Tm  0.5000  0.5000  0.5000
Tl  0.1205  0.1205  0.6209
Tl  0.3795  0.3795  0.8791
Tl  0.6205  0.6205  0.1209
Tl  0.8795  0.8795  0.3791

# 2
This entry pairs a crystal structure of Na4TmTl5 with its theoretical X-ray powder pattern. Radiation: Cu Kα (weighted mean of Kα1 and Kα2). Structure: a DFT-relaxed cell (PBE, Alexandria).
Peak positions follow from Bragg's law for the DFT cell and can differ from measured ones.

Largest 10 diffraction maxima, in order of rising 2θ, 2θ from 15° to 90°:
2θ = 20.50°, I = 25
2θ = 24.68°, I = 34
2θ = 32.29°, I = 100
2θ = 35.18°, I = 47
2θ = 41.06°, I = 17
2θ = 41.69°, I = 12
2θ = 50.60°, I = 15
2θ = 55.66°, I = 19
2θ = 61.31°, I = 32
2θ = 67.58°, I = 11

Cell and atoms:
a = 3.6075 Å, b = 3.6075 Å, c = 21.6639 Å
α = 90.00°, β = 90.00°, γ = 90.00°
Element x y z (fractional)
Na  0.0000  0.0000  0.1037
Na  0.0000  0.0000  0.3096
Na  0.0000  0.0000  0.6904
Na  0.0000  0.0000  0.8963
Tm  0.0000  0.0000  0.5000
Tl  0.5000  0.5000  0.0000
Tl  0.5000  0.5000  0.2075
Tl  0.5000  0.5000  0.4075
Tl  0.5000  0.5000  0.5925
Tl  0.5000  0.5000  0.7925

# 3
This entry pairs a crystal structure of Na4YTl15 with its theoretical X-ray powder pattern. Radiation: Cu Kα (weighted mean of Kα1 and Kα2). Structure: a DFT-relaxed cell (PBE, Alexandria).
Peak positions follow from Bragg's law for the DFT cell and can differ from measured ones.

Largest 10 diffraction maxima, in order of rising 2θ, 2θ from 15° to 90°:
2θ = 18.45°, I = 12
2θ = 31.93°, I = 100
2θ = 36.28°, I = 18
2θ = 37.41°, I = 33
2θ = 53.10°, I = 24
2θ = 53.94°, I = 12
2θ = 62.55°, I = 14
2θ = 64.07°, I = 28
2θ = 66.75°, I = 12
2θ = 87.16°, I = 12

Cell and atoms:
a = 4.8079 Å, b = 4.8079 Å, c = 24.7598 Å
α = 90.00°, β = 90.00°, γ = 90.00°
Element x y z (fractional)
Na  0.0000  0.0000  0.1003
Na  0.0000  0.0000  0.3053
Na  0.0000  0.0000  0.6947
Na  0.0000  0.0000  0.8997
Y  0.0000  0.0000  0.5000
Tl  0.0000  0.5000  0.0000
Tl  0.0000  0.5000  0.2014
Tl  0.0000  0.5000  0.4027
Tl  0.0000  0.5000  0.5973
Tl  0.0000  0.5000  0.7986
Tl  0.5000  0.0000  0.0000
Tl  0.5000  0.0000  0.2014
Tl  0.5000  0.0000  0.4027
Tl  0.5000  0.0000  0.5973
Tl  0.5000  0.0000  0.7986
Tl  0.5000  0.5000  0.1007
Tl  0.5000  0.5000  0.3048
Tl  0.5000  0.5000  0.5000
Tl  0.5000  0.5000  0.6952
Tl  0.5000  0.5000  0.8993

# 4
This entry pairs a crystal structure of Na2YTl with its theoretical X-ray powder pattern. Radiation: Cu Kα (weighted mean of Kα1 and Kα2). Structure: a DFT-relaxed cell (PBE, Alexandria).
Peak positions follow from Bragg's law for the DFT cell and can differ from measured ones.

Largest 10 diffraction maxima, in order of rising 2θ, 2θ from 15° to 90°:
2θ = 20.12°, I = 17
2θ = 28.80°, I = 34
2θ = 29.06°, I = 100
2θ = 35.68°, I = 58
2θ = 42.88°, I = 46
2θ = 46.50°, I = 32
2θ = 50.21°, I = 15
2θ = 60.96°, I = 16
2θ = 66.32°, I = 19
2θ = 70.14°, I = 16

Cell and atoms:
a = 12.7972 Å, b = 12.7972 Å, c = 12.7972 Å
α = 159.81°, β = 159.81°, γ = 28.70°
Element x y z (fractional)
Na  0.1018  0.6250  0.9768
Na  0.3750  0.3518  0.4768
Na  0.6482  0.1250  0.0232
Na  0.8750  0.8982  0.5232
Y  0.2500  0.7500  0.5000
Y  0.5000  0.5000  0.0000
Tl  0.0000  0.0000  0.0000
Tl  0.7500  0.2500  0.5000

# 5
This entry pairs a crystal structure of NaY3Tl4 with its theoretical X-ray powder pattern. Radiation: Cu Kα (weighted mean of Kα1 and Kα2). Structure: a DFT-relaxed cell (PBE, Alexandria).
Peak positions follow from Bragg's law for the DFT cell and can differ from measured ones.

Largest 10 diffraction maxima, in order of rising 2θ, 2θ from 15° to 90°:
2θ = 23.48°, I = 49
2θ = 33.28°, I = 100
2θ = 33.62°, I = 98
2θ = 41.42°, I = 12
2θ = 48.03°, I = 36
2θ = 59.26°, I = 19
2θ = 59.91°, I = 37
2θ = 60.12°, I = 19
2θ = 79.83°, I = 16
2θ = 80.40°, I = 16

Cell and atoms:
a = 9.3568 Å, b = 9.3568 Å, c = 9.3568 Å
α = 33.10°, β = 33.10°, γ = 33.10°
Element x y z (fractional)
Na  0.0000  0.0000  0.0000
Y  0.2539  0.2539  0.2539
Y  0.5000  0.5000  0.5000
Y  0.7461  0.7461  0.7461
Tl  0.1246  0.1246  0.1246
Tl  0.3748  0.3748  0.3748
Tl  0.6252  0.6252  0.6252
Tl  0.8754  0.8754  0.8754

# 6
This entry pairs a crystal structure of Na3Tl7Zn2 with its theoretical X-ray powder pattern. Radiation: Cu Kα (weighted mean of Kα1 and Kα2). Structure: a DFT-relaxed cell (PBE, Alexandria).
Peak positions follow from Bragg's law for the DFT cell and can differ from measured ones.

Largest 10 diffraction maxima, in order of rising 2θ, 2θ from 15° to 90°:
2θ = 16.17°, I = 100
2θ = 22.94°, I = 30
2θ = 28.31°, I = 84
2θ = 29.84°, I = 97
2θ = 32.28°, I = 88
2θ = 32.67°, I = 40
2θ = 35.45°, I = 53
2θ = 37.48°, I = 68
2θ = 41.80°, I = 50
2θ = 57.38°, I = 40

Cell and atoms:
a = 4.3219 Å, b = 4.7990 Å, c = 16.7451 Å
α = 98.00°, β = 97.21°, γ = 90.06°
Element x y z (fractional)
Na  0.0000  0.0000  0.0000
Na  0.1720  0.1711  0.3422
Na  0.8280  0.8289  0.6578
Tl  0.0799  0.5816  0.1582
Tl  0.2667  0.2720  0.5405
Tl  0.4117  0.9098  0.8254
Tl  0.5000  0.5000  0.0000
Tl  0.5883  0.0902  0.1746
Tl  0.7333  0.7280  0.4595
Tl  0.9201  0.4184  0.8418
Zn  0.3544  0.3540  0.7105
Zn  0.6456  0.6460  0.2895

# 7
This entry pairs a crystal structure of Na2Tl4Zn with its theoretical X-ray powder pattern. Radiation: Cu Kα (weighted mean of Kα1 and Kα2). Structure: a DFT-relaxed cell (PBE, Alexandria).
Peak positions follow from Bragg's law for the DFT cell and can differ from measured ones.

Largest 10 diffraction maxima, in order of rising 2θ, 2θ from 15° to 90°:
2θ = 22.56°, I = 32
2θ = 25.32°, I = 66
2θ = 34.16°, I = 100
2θ = 36.11°, I = 49
2θ = 42.99°, I = 48
2θ = 50.53°, I = 13
2θ = 52.00°, I = 18
2θ = 58.69°, I = 14
2θ = 63.69°, I = 37
2θ = 64.81°, I = 12

Cell and atoms:
a = 8.6312 Å, b = 8.6312 Å, c = 8.6312 Å
α = 146.50°, β = 146.50°, γ = 48.10°
Element x y z (fractional)
Na  0.2470  0.2470  0.0000
Na  0.7530  0.7530  0.0000
Tl  0.1048  0.6048  0.5000
Tl  0.3952  0.8952  0.5000
Tl  0.6048  0.1048  0.5000
Tl  0.8952  0.3952  0.5000
Zn  0.0000  0.0000  0.0000

# 8
This entry pairs a crystal structure of NaZr2Tl with its theoretical X-ray powder pattern. Radiation: Cu Kα (weighted mean of Kα1 and Kα2). Structure: a DFT-relaxed cell (PBE, Alexandria).
Peak positions follow from Bragg's law for the DFT cell and can differ from measured ones.

Largest 10 diffraction maxima, in order of rising 2θ, 2θ from 15° to 90°:
2θ = 21.54°, I = 42
2θ = 35.53°, I = 100
2θ = 41.93°, I = 23
2θ = 51.13°, I = 18
2θ = 56.10°, I = 10
2θ = 63.81°, I = 36
2θ = 68.19°, I = 8
2θ = 75.22°, I = 11
2θ = 79.32°, I = 8
2θ = 86.05°, I = 16

Cell and atoms:
a = 5.0531 Å, b = 5.0531 Å, c = 5.0531 Å
α = 60.00°, β = 60.00°, γ = 60.00°
Element x y z (fractional)
Na  0.0000  0.0000  0.0000
Zr  0.2500  0.2500  0.2500
Zr  0.7500  0.7500  0.7500
Tl  0.5000  0.5000  0.5000

# 9
This entry pairs a crystal structure of NaTmZn17 with its theoretical X-ray powder pattern. Radiation: Cu Kα (weighted mean of Kα1 and Kα2). Structure: a DFT-relaxed cell (PBE, Alexandria).
Peak positions follow from Bragg's law for the DFT cell and can differ from measured ones.

Largest 10 diffraction maxima, in order of rising 2θ, 2θ from 15° to 90°:
2θ = 34.56°, I = 35
2θ = 35.71°, I = 27
2θ = 40.12°, I = 59
2θ = 40.37°, I = 100
2θ = 41.12°, I = 50
2θ = 41.38°, I = 23
2θ = 45.33°, I = 59
2θ = 58.80°, I = 19
2θ = 72.90°, I = 22
2θ = 74.43°, I = 24

Cell and atoms:
a = 6.7985 Å, b = 6.7985 Å, c = 6.7985 Å
α = 82.78°, β = 82.78°, γ = 82.78°
Element x y z (fractional)
Na  0.0000  0.0000  0.0000
Tm  0.6775  0.6775  0.6775
Zn  0.0422  0.3401  0.6425
Zn  0.0422  0.6425  0.3401
Zn  0.1811  0.6923  0.6923
Zn  0.2397  0.2397  0.2397
Zn  0.3401  0.0422  0.6425
Zn  0.3401  0.6425  0.0422
Zn  0.3451  0.3451  0.8389
Zn  0.3451  0.8389  0.3451
Zn  0.4423  0.4423  0.4423
Zn  0.5047  0.9883  0.9883
Zn  0.6425  0.0422  0.3401
Zn  0.6425  0.3401  0.0422
Zn  0.6923  0.1811  0.6923
Zn  0.6923  0.6923  0.1811
Zn  0.8389  0.3451  0.3451
Zn  0.9883  0.5047  0.9883
Zn  0.9883  0.9883  0.5047

# 10
This entry pairs a crystal structure of NaUZn17 with its theoretical X-ray powder pattern. Radiation: Cu Kα (weighted mean of Kα1 and Kα2). Structure: a DFT-relaxed cell (PBE, Alexandria).
Peak positions follow from Bragg's law for the DFT cell and can differ from measured ones.

Largest 10 diffraction maxima, in order of rising 2θ, 2θ from 15° to 90°:
2θ = 17.57°, I = 19
2θ = 34.52°, I = 38
2θ = 35.57°, I = 30
2θ = 40.08°, I = 59
2θ = 40.28°, I = 100
2θ = 40.87°, I = 34
2θ = 41.20°, I = 24
2θ = 45.23°, I = 41
2θ = 72.80°, I = 27
2θ = 74.01°, I = 21

Cell and atoms:
a = 6.8192 Å, b = 6.8192 Å, c = 6.8192 Å
α = 82.58°, β = 82.58°, γ = 82.58°
Element x y z (fractional)
Na  0.0000  0.0000  0.0000
U  0.6780  0.6780  0.6780
Zn  0.0428  0.3395  0.6406
Zn  0.0428  0.6406  0.3395
Zn  0.1800  0.6925  0.6925
Zn  0.2402  0.2402  0.2402
Zn  0.3395  0.0428  0.6406
Zn  0.3395  0.6406  0.0428
Zn  0.3457  0.3457  0.8371
Zn  0.3457  0.8371  0.3457
Zn  0.4418  0.4418  0.4418
Zn  0.5003  0.9874  0.9874
Zn  0.6406  0.0428  0.3395
Zn  0.6406  0.3395  0.0428
Zn  0.6925  0.1800  0.6925
Zn  0.6925  0.6925  0.1800
Zn  0.8371  0.3457  0.3457
Zn  0.9874  0.5003  0.9874
Zn  0.9874  0.9874  0.5003

# 11
This entry pairs a crystal structure of NaVZn with its theoretical X-ray powder pattern. Radiation: Cu Kα (weighted mean of Kα1 and Kα2). Structure: a DFT-relaxed cell (PBE, Alexandria).
Peak positions follow from Bragg's law for the DFT cell and can differ from measured ones.

Largest 10 diffraction maxima, in order of rising 2θ, 2θ from 15° to 90°:
2θ = 18.75°, I = 41
2θ = 21.25°, I = 80
2θ = 37.01°, I = 100
2θ = 37.89°, I = 25
2θ = 38.03°, I = 91
2θ = 39.26°, I = 45
2θ = 41.09°, I = 43
2θ = 43.29°, I = 58
2θ = 47.67°, I = 28
2θ = 69.03°, I = 38

Cell and atoms:
a = 5.4890 Å, b = 5.4890 Å, c = 5.4890 Å
α = 126.27°, β = 114.12°, γ = 89.98°
Element x y z (fractional)
Na  0.3819  0.1319  0.2500
Na  0.6181  0.8681  0.7500
V  0.0000  0.0000  0.5000
V  0.0000  0.5000  0.0000
Zn  0.0000  0.5000  0.5000
Zn  0.5000  0.5000  0.0000

# 12
This entry pairs a crystal structure of NaVZn with its theoretical X-ray powder pattern. Radiation: Cu Kα (weighted mean of Kα1 and Kα2). Structure: a DFT-relaxed cell (PBE, Alexandria).
Peak positions follow from Bragg's law for the DFT cell and can differ from measured ones.

Largest 10 diffraction maxima, in order of rising 2θ, 2θ from 15° to 90°:
2θ = 29.27°, I = 18
2θ = 32.22°, I = 37
2θ = 36.66°, I = 55
2θ = 40.34°, I = 83
2θ = 41.11°, I = 27
2θ = 42.20°, I = 100
2θ = 48.56°, I = 22
2θ = 57.11°, I = 14
2θ = 58.38°, I = 26
2θ = 74.62°, I = 32

Cell and atoms:
a = 3.1621 Å, b = 3.1610 Å, c = 11.6433 Å
α = 90.00°, β = 90.08°, γ = 90.00°
Element x y z (fractional)
Na  0.2480  0.2500  0.1313
Na  0.7520  0.7500  0.8687
V  0.2496  0.2500  0.4508
V  0.7504  0.7500  0.5492
Zn  0.2513  0.2500  0.6804
Zn  0.7487  0.7500  0.3196